[1]
Theoretical powder diffractogram of La2YGe3Ir4 for Cu Kα, from a DFT-relaxed cell (PBE, Alexandria).

Main lines, sorted by position (2θ = 10–90°):
2θ (°)	d [Å]	I/Imax
23.55	3.777	11
26.29	3.390	12
30.91	2.893	10
31.76	2.818	22
33.88	2.646	100
38.23	2.354	14
42.74	2.116	51
44.02	2.057	24
45.40	1.998	22
62.04	1.496	17
64.11	1.453	16
72.59	1.302	22

Crystal structure
abc: 4.2315 4.2315 11.3317
angles: 90.00 90.00 90.00
Fractional coordinates of all 10 atoms:
La (0.0000, 0.5000, 0.2331)
La (0.5000, 0.0000, 0.7669)
Y (0.0000, 0.0000, 0.5000)
Ge (0.0000, 0.5000, 0.8804)
Ge (0.5000, 0.0000, 0.1196)
Ge (0.5000, 0.5000, 0.5000)
Ir (0.0000, 0.0000, 0.0000)
Ir (0.0000, 0.5000, 0.6609)
Ir (0.5000, 0.0000, 0.3391)
Ir (0.5000, 0.5000, 0.0000)

[2]
Theoretical powder diffractogram of Li5GeIr2 for Cu Kα, from a DFT-relaxed cell (PBE, Alexandria).

Main lines, sorted by position (2θ = 10–90°):
2θ (°)	d [Å]	I/Imax
16.18	5.478	22
18.04	4.917	49
22.91	3.882	100
23.71	3.753	36
33.20	2.698	79
40.66	2.219	28
40.79	2.212	40
46.80	1.941	17
47.97	1.896	13
48.51	1.877	14
54.29	1.690	20
56.46	1.630	17

Crystal structure
abc: 5.5030 10.9553 3.7532
angles: 90.00 90.00 90.00
Fractional coordinates of all 16 atoms:
Li (0.0000, 0.0000, 0.0000)
Li (0.0516, 0.2526, 0.0000)
Li (0.1953, 0.8651, 0.5000)
Li (0.3047, 0.3651, 0.5000)
Li (0.4484, 0.7526, 0.0000)
Li (0.5000, 0.5000, 0.0000)
Li (0.5516, 0.2474, 0.0000)
Li (0.6953, 0.6349, 0.5000)
Li (0.8047, 0.1349, 0.5000)
Li (0.9484, 0.7474, 0.0000)
Ge (0.0000, 0.5000, 0.0000)
Ge (0.5000, 0.0000, 0.0000)
Ir (0.1900, 0.6086, 0.5000)
Ir (0.3100, 0.1086, 0.5000)
Ir (0.6900, 0.8914, 0.5000)
Ir (0.8100, 0.3914, 0.5000)

[3]
Theoretical powder diffractogram of Li6Ge2Ir for Cu Kα, from a DFT-relaxed cell (PBE, Alexandria).

Main lines, sorted by position (2θ = 10–90°):
2θ (°)	d [Å]	I/Imax
23.76	3.744	100
24.47	3.638	55
41.35	2.183	34
41.48	2.177	29
42.64	2.120	13
44.44	2.039	23
48.25	1.886	15
52.06	1.757	14
59.39	1.556	16
65.38	1.427	12
75.46	1.260	16
89.38	1.096	11

Crystal structure
abc: 9.2253 9.2253 9.2253
angles: 27.38 27.38 27.38
Fractional coordinates of all 9 atoms:
Li (0.1047, 0.1047, 0.1047)
Li (0.2014, 0.2014, 0.2014)
Li (0.3081, 0.3081, 0.3081)
Li (0.6919, 0.6919, 0.6919)
Li (0.7986, 0.7986, 0.7986)
Li (0.8953, 0.8953, 0.8953)
Ge (0.4092, 0.4092, 0.4092)
Ge (0.5908, 0.5908, 0.5908)
Ir (0.5000, 0.5000, 0.5000)

[4]
Theoretical powder diffractogram of LiGe2Ir2 for Cu Kα, from a DFT-relaxed cell (PBE, Alexandria).

Main lines, sorted by position (2θ = 10–90°):
2θ (°)	d [Å]	I/Imax
18.70	4.744	20
27.47	3.247	100
37.93	2.372	12
40.18	2.244	87
42.82	2.112	32
42.98	2.105	64
51.45	1.776	20
51.65	1.770	12
58.54	1.577	10
58.66	1.574	11
60.18	1.538	18
78.44	1.219	17

Crystal structure
abc: 4.2057 4.2124 5.3271
angles: 66.83 66.83 60.24
Fractional coordinates of all 5 atoms:
Li (0.0000, 0.0000, 0.0000)
Ge (0.3981, 0.4006, 0.8011)
Ge (0.6019, 0.5994, 0.1989)
Ir (0.2207, 0.2186, 0.3396)
Ir (0.7793, 0.7814, 0.6604)

[5]
Theoretical powder diffractogram of LiTmGe2Ir for Cu Kα, from a DFT-relaxed cell (PBE, Alexandria).

Main lines, sorted by position (2θ = 10–90°):
2θ (°)	d [Å]	I/Imax
23.46	3.793	75
33.65	2.663	82
35.56	2.524	100
44.61	2.031	49
48.51	1.877	36
51.00	1.791	19
57.02	1.615	37
61.73	1.503	15
64.92	1.436	16
68.01	1.378	26
76.27	1.248	22
88.15	1.108	14

Crystal structure
abc: 4.0626 4.0626 10.5793
angles: 90.00 90.00 90.00
Fractional coordinates of all 10 atoms:
Li (0.0000, 0.0000, 0.0000)
Li (0.5000, 0.5000, 0.5000)
Tm (0.0000, 0.5000, 0.7500)
Tm (0.5000, 0.0000, 0.2500)
Ge (0.0000, 0.5000, 0.1327)
Ge (0.0000, 0.5000, 0.3673)
Ge (0.5000, 0.0000, 0.6327)
Ge (0.5000, 0.0000, 0.8673)
Ir (0.0000, 0.0000, 0.5000)
Ir (0.5000, 0.5000, 0.0000)

[6]
Theoretical powder diffractogram of SmLuGeIr for Cu Kα, from a DFT-relaxed cell (PBE, Alexandria).

Main lines, sorted by position (2θ = 10–90°):
2θ (°)	d [Å]	I/Imax
21.93	4.053	9
25.38	3.510	1
36.19	2.482	100
42.72	2.117	5
52.12	1.755	18
57.20	1.610	2
65.10	1.433	36
69.59	1.351	2
76.81	1.241	11
81.04	1.187	2
87.98	1.110	17

Crystal structure
abc: 7.0199 7.0199 7.0199
angles: 90.00 90.00 90.00
Fractional coordinates of all 16 atoms:
Sm (0.0000, 0.0000, 0.0000)
Sm (0.0000, 0.5000, 0.5000)
Sm (0.5000, 0.0000, 0.5000)
Sm (0.5000, 0.5000, 0.0000)
Lu (0.0000, 0.0000, 0.5000)
Lu (0.0000, 0.5000, 0.0000)
Lu (0.5000, 0.0000, 0.0000)
Lu (0.5000, 0.5000, 0.5000)
Ge (0.2500, 0.2500, 0.7500)
Ge (0.2500, 0.7500, 0.2500)
Ge (0.7500, 0.2500, 0.2500)
Ge (0.7500, 0.7500, 0.7500)
Ir (0.2500, 0.2500, 0.2500)
Ir (0.2500, 0.7500, 0.7500)
Ir (0.7500, 0.2500, 0.7500)
Ir (0.7500, 0.7500, 0.2500)

[7]
Theoretical powder diffractogram of MgPa2Ge3Ir4 for Cu Kα, from a DFT-relaxed cell (PBE, Alexandria).

Main lines, sorted by position (2θ = 10–90°):
2θ (°)	d [Å]	I/Imax
23.83	3.733	12
27.21	3.277	10
31.30	2.858	15
32.33	2.769	13
32.65	2.742	39
35.26	2.546	100
44.85	2.021	47
46.34	1.959	33
56.57	1.627	17
65.30	1.429	15
66.47	1.407	23
76.44	1.246	22

Crystal structure
abc: 4.0416 4.0416 11.2002
angles: 90.00 90.00 90.00
Fractional coordinates of all 10 atoms:
Mg (0.0000, 0.0000, 0.0000)
Pa (0.0000, 0.5000, 0.7415)
Pa (0.5000, 0.0000, 0.2585)
Ge (0.0000, 0.5000, 0.3738)
Ge (0.5000, 0.0000, 0.6262)
Ge (0.5000, 0.5000, 0.0000)
Ir (0.0000, 0.0000, 0.5000)
Ir (0.0000, 0.5000, 0.1586)
Ir (0.5000, 0.0000, 0.8414)
Ir (0.5000, 0.5000, 0.5000)

[8]
Theoretical powder diffractogram of Mg2Pa2GeIr4 for Cu Kα, from a DFT-relaxed cell (PBE, Alexandria).

Main lines, sorted by position (2θ = 10–90°):
2θ (°)	d [Å]	I/Imax
16.97	5.224	16
19.36	4.585	17
19.75	4.495	42
34.33	2.612	100
39.30	2.292	15
40.13	2.247	49
43.48	2.081	30
52.56	1.741	16
57.42	1.605	17
58.04	1.589	15
69.20	1.358	22
88.87	1.101	16

Crystal structure
abc: 6.4202 6.4202 6.4202
angles: 120.66 120.66 88.86
Fractional coordinates of all 9 atoms:
Mg (0.2500, 0.7500, 0.5000)
Mg (0.7500, 0.2500, 0.5000)
Pa (0.1948, 0.1948, 0.0000)
Pa (0.8052, 0.8052, 0.0000)
Ge (0.5000, 0.5000, 0.0000)
Ir (0.2286, 0.2286, 0.4571)
Ir (0.2286, 0.7714, 0.0000)
Ir (0.7714, 0.2286, 0.0000)
Ir (0.7714, 0.7714, 0.5429)